No. 1
CaGe3Pd10: theoretical XRD peak list (λ = 1.5418 Å (Cu Kα)), based on DFT lattice parameters and positions (GGA-PBE).

Principal peaks in the range 2θ from 5° to 70°, in order of falling intensity:
37.46°, I = 100
42.89°, I = 55
40.92°, I = 35
20.13°, I = 31
48.40°, I = 26
43.53°, I = 22
63.25°, I = 16
68.53°, I = 15

Lattice parameters (Å, degrees): 8.8208 8.8208 8.8208 60.00 60.00 60.00
Element x y z (fractional)
Ca 0.2500 0.2500 0.2500
Ca 0.7500 0.7500 0.7500
Ge 0.2329 0.2329 0.7671
Ge 0.2329 0.7671 0.2329
Ge 0.2329 0.7671 0.7671
Ge 0.7671 0.2329 0.2329
Ge 0.7671 0.2329 0.7671
Ge 0.7671 0.7671 0.2329
Pd 0.1171 0.1171 0.1171
Pd 0.1171 0.1171 0.6488
Pd 0.1171 0.6488 0.1171
Pd 0.1542 0.5000 0.5000
Pd 0.1542 0.5000 0.8458
Pd 0.1542 0.8458 0.5000
Pd 0.3512 0.8829 0.8829
Pd 0.5000 0.1542 0.5000
Pd 0.5000 0.1542 0.8458
Pd 0.5000 0.5000 0.1542
Pd 0.5000 0.5000 0.8458
Pd 0.5000 0.8458 0.1542
Pd 0.5000 0.8458 0.5000
Pd 0.6488 0.1171 0.1171
Pd 0.8458 0.1542 0.5000
Pd 0.8458 0.5000 0.1542
Pd 0.8458 0.5000 0.5000
Pd 0.8829 0.3512 0.8829
Pd 0.8829 0.8829 0.3512
Pd 0.8829 0.8829 0.8829

=====

No. 2
LiTeSe2: theoretical XRD peak list (λ = 1.5418 Å (Cu Kα)), based on DFT lattice parameters and positions (GGA-PBE).

Principal peaks in the range 2θ from 5° to 70°, in order of falling intensity:
30.64°, I = 100
17.09°, I = 75
44.59°, I = 70
31.59°, I = 46
55.07°, I = 37
43.89°, I = 37
35.30°, I = 25
28.15°, I = 17

Lattice parameters (Å, degrees): 5.8357 5.8339 12.7447 90.00 117.25 90.00
Element x y z (fractional)
Li 0.1256 0.2453 0.1249
Li 0.1256 0.7547 0.6249
Li 0.8744 0.2453 0.3751
Li 0.8744 0.7547 0.8751
Te 0.3749 0.2506 0.8750
Te 0.3749 0.7494 0.3750
Te 0.6251 0.2506 0.6250
Te 0.6251 0.7494 0.1250
Se 0.1288 0.2514 0.6288
Se 0.1288 0.7486 0.1288
Se 0.3787 0.2489 0.3788
Se 0.3787 0.7511 0.8788
Se 0.6213 0.2489 0.1212
Se 0.6213 0.7511 0.6212
Se 0.8712 0.2514 0.8712
Se 0.8712 0.7486 0.3712

=====

No. 3
Li3B4C4: theoretical XRD peak list (λ = 1.5418 Å (Cu Kα)), based on DFT lattice parameters and positions (GGA-PBE).

Principal peaks in the range 2θ from 5° to 70°, in order of falling intensity:
24.51°, I = 100
45.66°, I = 26
50.25°, I = 17
46.07°, I = 17
69.13°, I = 10
46.36°, I = 8
68.89°, I = 6
38.16°, I = 6

Lattice parameters (Å, degrees): 7.7178 7.7178 9.4056 106.77 106.77 20.34
Element x y z (fractional)
Li 0.0000 0.0000 0.0000
Li 0.0075 0.0075 0.4579
Li 0.2556 0.2556 0.6067
Li 0.5022 0.5022 0.7298
Li 0.7490 0.7490 0.8733
Li 0.7520 0.7520 0.3324
B 0.1251 0.1251 0.2098
B 0.1268 0.1268 0.7097
B 0.3732 0.3732 0.0021
B 0.3810 0.3810 0.5009
B 0.6217 0.6217 0.9603
B 0.6372 0.6372 0.4623
B 0.8769 0.8769 0.7519
B 0.8794 0.8794 0.2484
C 0.1206 0.1206 0.8740
C 0.1391 0.1391 0.3819
C 0.3745 0.3745 0.8341
C 0.3813 0.3813 0.3344
C 0.6207 0.6207 0.1253
C 0.6309 0.6309 0.6276
C 0.8738 0.8738 0.0817
C 0.8805 0.8805 0.5858

=====

No. 4
BaI5O11: theoretical XRD peak list (λ = 1.5418 Å (Cu Kα)), based on DFT lattice parameters and positions (GGA-PBE).

Principal peaks in the range 2θ from 5° to 70°, in order of falling intensity:
24.06°, I = 100
25.33°, I = 90
23.20°, I = 82
26.19°, I = 67
32.04°, I = 56
25.79°, I = 56
15.42°, I = 48
39.74°, I = 36

Lattice parameters (Å, degrees): 7.2180 7.2180 7.7477 108.42 108.42 78.42
Element x y z (fractional)
Ba 0.0000 0.0000 0.0000
I 0.0106 0.6471 0.3306
I 0.3592 0.9586 0.6125
I 0.4708 0.4708 0.9262
I 0.6471 0.0106 0.3306
I 0.9586 0.3592 0.6125
O 0.0496 0.6549 0.1152
O 0.2914 0.9343 0.8103
O 0.3010 0.3010 0.6892
O 0.3829 0.9744 0.2738
O 0.6265 0.9612 0.6920
O 0.6549 0.0496 0.1152
O 0.7147 0.7147 0.2726
O 0.9343 0.2914 0.8103
O 0.9612 0.6265 0.6920
O 0.9698 0.9698 0.4209
O 0.9744 0.3829 0.2738